Theoretical PXRD pattern
Compound: Li2CaYCr
Radiation: Cu Kα
Structure: a GGA-PBE-relaxed structure
Kinematic intensities with the Lorentz-polarization factor, no thermal factor.

```
data_Li2CaYCr
_cell_length_a 4.637
_cell_length_b 4.637
_cell_length_c 5.683
_cell_angle_alpha 90.00
_cell_angle_beta 90.00
_cell_angle_gamma 90.00
_symmetry_space_group_name_H-M 'P 4/m m m'
_symmetry_Int_Tables_number 123
_symmetry_space_group_name_Hall '-P 4 2'
loop_
_atom_site_label
_atom_site_fract_x
_atom_site_fract_y
_atom_site_fract_z
Li1 0.000 0.500 0.000
Ca1 0.000 0.000 0.000
Y1 0.000 0.000 0.500
Cr1 0.500 0.500 0.500
```

Principal peaks in the range 10 to 90 degrees two-theta, in order of rising 2θ:
15.59°, I = 50; 19.14°, I = 48; 27.20°, I = 100; 31.50°, I = 96; 38.84°, I = 46; 42.08°, I = 74; 50.83°, I = 40; 65.76°, I = 34